This entry pairs a crystal structure of CuP4S3I with its calculated powder XRD pattern. Radiation: Cu Ka. Structure: the PBE geometry in Alexandria.
Lines closer than 0.1° are merged.

Main lines, in order of falling intensity (15° ≤ 2θ ≤ 90°):
2θ 17.81, 4.981 Å, intensity 100; 2θ 27.13, 3.287 Å, intensity 38; 2θ 28.27, 3.157 Å, intensity 32; 2θ 25.55, 3.486 Å, intensity 24; 2θ 45.94, 1.976 Å, intensity 23; 2θ 27.86, 3.202 Å, intensity 22; 2θ 42.97, 2.105 Å, intensity 21; 2θ 30.51, 2.930 Å, intensity 19; 2θ 27.44, 3.250 Å, intensity 16; 2θ 32.15, 2.784 Å, intensity 16

Cell and atoms:
a b c (Å): 12.1206 12.1206 11.8268
angles (deg): 90.00 90.00 141.97
Fractional coordinates of all 36 atoms:
1 Cu 0.1934 0.1934 0.0000
2 Cu 0.3066 0.3066 0.5000
3 Cu 0.6934 0.6934 0.5000
4 Cu 0.8066 0.8066 0.0000
5 P 0.0615 0.2227 0.4758
6 P 0.1192 0.8808 0.6739
7 P 0.2099 0.7901 0.4544
8 P 0.2227 0.0615 0.5242
9 P 0.2773 0.4385 0.0242
10 P 0.2901 0.7099 0.9544
11 P 0.3808 0.6192 0.1739
12 P 0.4385 0.2773 0.9758
13 P 0.5615 0.7227 0.0242
14 P 0.6192 0.3808 0.8261
15 P 0.7099 0.2901 0.0456
16 P 0.7227 0.5615 0.9758
17 P 0.7773 0.9385 0.4758
18 P 0.7901 0.2099 0.5456
19 P 0.8808 0.1192 0.3261
20 P 0.9385 0.7773 0.5242
21 S 0.0530 0.3583 0.5765
22 S 0.1417 0.4470 0.9235
23 S 0.2087 0.7913 0.6349
24 S 0.2913 0.7087 0.1349
25 S 0.3583 0.0530 0.4235
26 S 0.4470 0.1417 0.0765
27 S 0.5530 0.8583 0.9235
28 S 0.6417 0.9470 0.5765
29 S 0.7087 0.2913 0.8651
30 S 0.7913 0.2087 0.3651
31 S 0.8583 0.5530 0.0765
32 S 0.9470 0.6417 0.4235
33 I 0.0237 0.9763 0.1747
34 I 0.4763 0.5237 0.6747
35 I 0.5237 0.4763 0.3253
36 I 0.9763 0.0237 0.8253